Starting from a cell relaxed with PBE, the PXRD pattern of TlAg5 was computed for Cu Kα X-rays.
Lines closer than 0.1° are merged.

Structural model:
a b c (Å): 10.8560 3.1076 7.1973
angles (deg): 90.00 106.89 90.00
Element x y z (fractional)
Tl1 0.0000 0.0000 0.0000
Tl2 0.5000 0.5000 0.0000
Ag1 0.1275 0.5000 0.7325
Ag2 0.1733 0.5000 0.3468
Ag3 0.2837 0.0000 0.0841
Ag4 0.3359 0.0000 0.6589
Ag5 0.4567 0.5000 0.4121
Ag6 0.6275 0.0000 0.7325
Ag7 0.6733 0.0000 0.3468
Ag8 0.7837 0.5000 0.0841
Ag9 0.8359 0.5000 0.6589
Ag10 0.9567 0.0000 0.4121

Main lines, low angle first (2θ = 10–90°):
- 2θ 33.78, intensity 32
- 2θ 35.21, intensity 32
- 2θ 36.80, intensity 67
- 2θ 38.28, intensity 100
- 2θ 38.94, intensity 95
- 2θ 39.24, intensity 33